Computed XRD peak list of TmPuTe3 for Cu Kα, from DFT lattice parameters and positions (PBE).
Peak positions follow from Bragg's law for the DFT cell and can differ from measured ones.

Crystal structure
Cell lengths 7.7521, 4.6041, 11.6282 Å; angles 90.00, 104.34, 90.00 degrees
Fractional positions:
Tm  0.0324  0.2500  0.1610
Tm  0.9676  0.7500  0.8390
Pu  0.4894  0.2500  0.6654
Pu  0.5106  0.7500  0.3346
Te  0.2227  0.7500  0.0860
Te  0.2761  0.7500  0.7380
Te  0.2767  0.2500  0.4031
Te  0.7233  0.7500  0.5969
Te  0.7239  0.2500  0.2620
Te  0.7773  0.2500  0.9140

Top 8 peaks for 2θ from 5° to 70°, in order of rising 2θ:
2θ = 12.4°, d 7.115, rel. 61, (1 0 -1)
2θ = 15.7°, d 5.636, rel. 45, (1 0 1)
2θ = 23.0°, d 3.865, rel. 100, (1 1 -1)
2θ = 29.1°, d 3.069, rel. 70, (1 0 3)
2θ = 31.8°, d 2.815, rel. 95, (2 1 -2)
2θ = 37.4°, d 2.403, rel. 56, (2 1 2)
2θ = 43.6°, d 2.074, rel. 68, (1 1 -5)
2θ = 49.5°, d 1.841, rel. 32, (1 2 3)